# MgAl2H4Pb2O4F6
Simulated powder XRD pattern, Cu Ka. Input: the PBE geometry in the Materials Project.

Atomic structure:
```
data_MgAl2H4Pb2O4F6
_cell_length_a 4.8307
_cell_length_b 7.6053
_cell_length_c 7.6145
_cell_angle_alpha 112.38
_cell_angle_beta 95.97
_cell_angle_gamma 98.58
_symmetry_space_group_name_H-M 'P -1'
_symmetry_Int_Tables_number 2
loop_
_symmetry_equiv_pos_as_xyz
'x,y,z'
'-x,-y,-z'
loop_
_atom_site_label
_atom_site_fract_x
_atom_site_fract_y
_atom_site_fract_z
Mg1 0.0000 0.0000 0.0000
Al1 0.3473 0.3411 0.3281
H1 0.1626 0.6581 0.4994
H2 0.2657 0.6065 0.8351
Pb1 0.4216 0.2415 0.7775
O1 0.3331 0.5998 0.4829
O2 0.4588 0.5798 0.8455
F1 0.0098 0.2774 0.1525
F2 0.1265 0.2424 0.4660
F3 0.3708 0.0850 0.1728
```

The 6 most intense peaks (10 to 90 degrees two-theta), low angle first:
2theta, intensity, index
14.01, 58, 0 1 -1
18.87, 100, 1 0 0
21.55, 64, 0 1 1
23.26, 56, 1 -1 1
25.89, 64, 0 2 0
29.20, 74, 1 1 -2

***

# RbUCuS3
Simulated powder XRD pattern, Cu Ka. Input: the PBE geometry in the Materials Project.

Atomic structure:
```
data_RbUCuS3
_cell_length_a 3.9805
_cell_length_b 14.7652
_cell_length_c 10.3077
_cell_angle_alpha 90.00
_cell_angle_beta 90.00
_cell_angle_gamma 90.00
_symmetry_space_group_name_H-M 'C m c m'
_symmetry_Int_Tables_number 63
_symmetry_space_group_name_Hall '-C 2c 2'
loop_
_atom_site_label
_atom_site_fract_x
_atom_site_fract_y
_atom_site_fract_z
Rb1 0.0000 0.2418 0.2500
U1 0.0000 0.5000 0.0000
Cu1 0.0000 0.0333 0.7500
S1 0.0000 0.1174 0.5609
S2 0.0000 0.4434 0.7500
```

The 6 most intense peaks (10 to 90 degrees two-theta), low angle first:
2theta, intensity, index
11.99, 100, 0 2 0
21.02, 52, 0 2 2
24.11, 32, 0 4 0
28.98, 50, 1 1 2
33.78, 50, 1 3 2
41.93, 38, 1 5 2

***

# Te2Pd7
Simulated powder XRD pattern, Cu Ka. Input: the PBE geometry in the Materials Project.

Atomic structure:
```
data_Te2Pd7
_cell_length_a 8.9753
_cell_length_b 8.9753
_cell_length_c 21.9380
_cell_angle_alpha 90.00
_cell_angle_beta 90.00
_cell_angle_gamma 120.00
_symmetry_space_group_name_H-M 'R -3 m'
_symmetry_Int_Tables_number 166
_symmetry_space_group_name_Hall '-R 3 2"'
loop_
_atom_site_label
_atom_site_fract_x
_atom_site_fract_y
_atom_site_fract_z
Te1 0.0000 0.0000 0.0000
Te2 0.0000 0.0000 0.3720
Te3 0.0000 0.5000 0.5000
Pd1 0.0000 0.0000 0.2573
Pd2 0.0000 0.0000 0.5000
Pd3 0.0131 0.5066 0.6225
Pd4 0.0173 0.5087 0.8738
Pd5 0.0278 0.5139 0.2515
```

The 6 most intense peaks (10 to 90 degrees two-theta), low angle first:
2theta, intensity, index
23.26, 17, 0 2 1
40.22, 100, 2 0 8
55.66, 10, 2 3 5
58.19, 16, 0 4 8
73.06, 22, 4 2 8
73.20, 8, 0 2 16

***

# LaB2C2
Simulated powder XRD pattern, Cu Ka. Input: the PBE geometry in the Materials Project.

Atomic structure:
```
data_LaB2C2
_cell_length_a 5.4028
_cell_length_b 5.4028
_cell_length_c 3.9822
_cell_angle_alpha 90.00
_cell_angle_beta 90.00
_cell_angle_gamma 90.00
_symmetry_space_group_name_H-M 'P 4/m b m'
_symmetry_Int_Tables_number 127
_symmetry_space_group_name_Hall '-P 4 2ab'
loop_
_atom_site_label
_atom_site_fract_x
_atom_site_fract_y
_atom_site_fract_z
La1 0.0000 0.0000 0.0000
B1 0.1379 0.3621 0.5000
C1 0.1609 0.6609 0.5000
```

The 6 most intense peaks (10 to 90 degrees two-theta), low angle first:
2theta, intensity, index
22.32, 25, 0 0 1
23.28, 77, 1 1 0
32.48, 100, 1 1 1
33.16, 33, 2 0 0
40.34, 54, 2 0 1
53.64, 25, 3 1 0

***

# Ta2N
Simulated powder XRD pattern, Cu Ka. Input: the PBE geometry in the Materials Project.

Atomic structure:
```
data_Ta2N
_cell_length_a 3.1129
_cell_length_b 3.1129
_cell_length_c 4.8698
_cell_angle_alpha 90.00
_cell_angle_beta 90.00
_cell_angle_gamma 120.00
_symmetry_space_group_name_H-M 'P -3 m 1'
_symmetry_Int_Tables_number 164
_symmetry_space_group_name_Hall '-P 3 2"'
loop_
_atom_site_label
_atom_site_fract_x
_atom_site_fract_y
_atom_site_fract_z
Ta1 0.3333 0.6667 0.2547
N1 0.0000 0.0000 0.0000
```

The 6 most intense peaks (10 to 90 degrees two-theta), low angle first:
2theta, intensity, index
33.23, 20, 1 0 0
36.92, 22, 0 0 2
38.16, 100, 0 1 1
59.38, 20, 1 1 0
67.33, 19, 0 1 3
72.01, 20, 1 1 2

***

Repeat the fourth record exactly.
# LaB2C2
Simulated powder XRD pattern, Cu Ka. Input: the PBE geometry in the Materials Project.

Atomic structure:
```
data_LaB2C2
_cell_length_a 5.4028
_cell_length_b 5.4028
_cell_length_c 3.9822
_cell_angle_alpha 90.00
_cell_angle_beta 90.00
_cell_angle_gamma 90.00
_symmetry_space_group_name_H-M 'P 4/m b m'
_symmetry_Int_Tables_number 127
_symmetry_space_group_name_Hall '-P 4 2ab'
loop_
_atom_site_label
_atom_site_fract_x
_atom_site_fract_y
_atom_site_fract_z
La1 0.0000 0.0000 0.0000
B1 0.1379 0.3621 0.5000
C1 0.1609 0.6609 0.5000
```

The 6 most intense peaks (10 to 90 degrees two-theta), low angle first:
2theta, intensity, index
22.32, 25, 0 0 1
23.28, 77, 1 1 0
32.48, 100, 1 1 1
33.16, 33, 2 0 0
40.34, 54, 2 0 1
53.64, 25, 3 1 0